For La2HfH, a cell relaxed with GGA-PBE gives the calculated XRD peak list in this record (Cu Ka).
Lines closer than 0.1° are merged.

Structure:
```
data_La2HfH
_symmetry_space_group_name_H-M 'P 1'
_symmetry_Int_Tables_number 1
_symmetry_space_group_name_Hall 'P 1'
_cell_length_a 6.391
_cell_length_b 6.391
_cell_length_c 6.391
_cell_angle_alpha 109.99
_cell_angle_beta 109.99
_cell_angle_gamma 108.43
loop_
_atom_site_label
_atom_site_type_symbol
_atom_site_fract_x
_atom_site_fract_y
_atom_site_fract_z
La1 La 0.020 0.625 0.895
La2 La 0.375 0.270 0.395
La3 La 0.730 0.125 0.105
La4 La 0.875 0.980 0.605
Hf1 Hf 0.250 0.750 0.500
Hf2 Hf 0.500 0.500 0.000
H1 H 0.000 0.000 0.000
H2 H 0.750 0.250 0.500
```

Most intense lines, 5° ≤ 2θ ≤ 70°, by angle:
2θ = 29.5°, rel. 66
2θ = 29.8°, rel. 100
2θ = 38.2°, rel. 18
2θ = 38.8°, rel. 36
2θ = 46.1°, rel. 17
2θ = 55.2°, rel. 18
2θ = 58.6°, rel. 19
2θ = 64.8°, rel. 19